BaSiP2: theoretical powder XRD pattern (Cu Kα X-rays), based on a cell relaxed with GGA-PBE.

Peak list (10 most intense, 2θ from 10° to 90°, sorted by position)
hkl	2θ/deg	I/Imax
2 2 -1	24.13	68
0 0 4	24.39	27
1 3 0	26.85	27
2 2 -3	28.46	40
2 2 3	32.26	100
0 4 1	34.67	37
4 0 2	38.94	39
4 4 -1	49.00	32
0 4 7	56.31	24
6 2 2	59.89	32

Crystal structure
Cell lengths 10.5155, 10.5157, 14.8322 Å; angles 90.00, 100.22, 90.00 degrees
Space group C2/c (No. 15)
Symmetry-distinct sites (fractional):
Ba 0.0361 0.1868 0.3952 [8 per cell]
Ba 0.2145 0.4382 0.1099 [8 per cell]
Si 0.1032 0.1889 0.6673 [8 per cell]
Si 0.1443 0.4364 0.8327 [8 per cell]
P 0.0000 0.0568 0.7500 [4 per cell]
P 0.0000 0.4310 0.2500 [4 per cell]
P 0.0435 0.3135 0.9266 [8 per cell]
P 0.2067 0.0625 0.5764 [8 per cell]
P 0.2438 0.1877 0.2496 [8 per cell]